# 1
Simulated PXRD pattern
Compound: K2AlGa7
Radiation: Cu Kα (λ = 1.5418 Å)
Structure: a cell relaxed with PBE
Peak positions follow from Bragg's law for the DFT cell and can differ from measured ones.

Peak list (10 most intense, 2θ from 10° to 90°, in order of falling intensity)
- 32.53 deg, I 100
- 40.45 deg, I 79
- 43.04 deg, I 71
- 31.12 deg, I 55
- 21.43 deg, I 44
- 45.06 deg, I 35
- 75.36 deg, I 26
- 58.54 deg, I 26
- 62.14 deg, I 25
- 51.90 deg, I 24

Cell and atoms:
Cell: 4.4600 4.4600 11.2724 Å, 90.00 90.00 90.00°
Fractional positions:
K  0.0000  0.5000  0.2489
K  0.5000  0.0000  0.7511
Al  0.0000  0.0000  0.5000
Ga  0.0000  0.0000  0.0000
Ga  0.0000  0.5000  0.6342
Ga  0.0000  0.5000  0.8654
Ga  0.5000  0.0000  0.1346
Ga  0.5000  0.0000  0.3658
Ga  0.5000  0.5000  0.0000
Ga  0.5000  0.5000  0.5000

---

# 2
Simulated PXRD pattern
Compound: K2AlGaSe4
Radiation: Cu Kα (λ = 1.5418 Å)
Structure: a cell relaxed with PBE
Peak positions follow from Bragg's law for the DFT cell and can differ from measured ones.

Peak list (10 most intense, 2θ from 10° to 90°, in order of falling intensity)
- 26.32 deg, I 100
- 29.11 deg, I 41
- 15.65 deg, I 35
- 47.58 deg, I 29
- 34.76 deg, I 22
- 45.95 deg, I 21
- 44.12 deg, I 20
- 40.93 deg, I 19
- 79.44 deg, I 12
- 54.75 deg, I 10

Cell and atoms:
Cell: 6.8385 6.8385 6.8385 Å, 115.49 115.49 98.01°
Fractional positions:
K  0.0000  0.0000  0.0000
K  0.7500  0.2500  0.5000
Al  0.5000  0.5000  0.0000
Ga  0.2500  0.7500  0.5000
Se  0.2202  0.1289  0.5927
Se  0.3725  0.7798  0.9087
Se  0.5362  0.6275  0.4073
Se  0.8711  0.4638  0.0913

---

# 3
Simulated PXRD pattern
Compound: La12AlGa5
Radiation: Cu Kα (λ = 1.5418 Å)
Structure: a cell relaxed with PBE
Peak positions follow from Bragg's law for the DFT cell and can differ from measured ones.

Peak list (10 most intense, 2θ from 10° to 90°, in order of falling intensity)
- 29.73 deg, I 100
- 32.64 deg, I 77
- 31.57 deg, I 56
- 32.14 deg, I 53
- 35.45 deg, I 41
- 37.43 deg, I 29
- 26.06 deg, I 28
- 55.35 deg, I 27
- 24.01 deg, I 25
- 36.36 deg, I 20

Cell and atoms:
Cell: 9.0319 9.0319 9.0319 Å, 111.80 110.73 105.94°
Fractional positions:
La  0.0553  0.2500  0.8053
La  0.1748  0.2705  0.4453
La  0.1748  0.7295  0.9043
La  0.3296  0.0380  0.7084
La  0.3296  0.6211  0.2916
La  0.4446  0.2500  0.1947
La  0.5554  0.7500  0.8053
La  0.6704  0.3789  0.7084
La  0.6704  0.9620  0.2916
La  0.8252  0.2705  0.0957
La  0.8252  0.7295  0.5547
La  0.9447  0.7500  0.1947
Al  0.5000  0.5000  0.0000
Ga  0.0000  0.0000  0.0000
Ga  0.1205  0.6205  0.5000
Ga  0.3507  0.0000  0.3507
Ga  0.6493  0.0000  0.6493
Ga  0.8795  0.3795  0.5000

---

# 4
Simulated PXRD pattern
Compound: La2Al5Ga2
Radiation: Cu Kα (λ = 1.5418 Å)
Structure: a cell relaxed with PBE
Peak positions follow from Bragg's law for the DFT cell and can differ from measured ones.

Peak list (10 most intense, 2θ from 10° to 90°, in order of falling intensity)
- 34.16 deg, I 100
- 27.00 deg, I 61
- 41.00 deg, I 54
- 41.77 deg, I 51
- 29.20 deg, I 51
- 59.97 deg, I 35
- 17.34 deg, I 31
- 71.40 deg, I 23
- 50.45 deg, I 22
- 60.56 deg, I 17

Cell and atoms:
Cell: 4.3245 4.3245 10.2308 Å, 90.00 90.00 90.00°
Fractional positions:
La  0.0000  0.0000  0.0000
La  0.0000  0.0000  0.5000
Al  0.0000  0.5000  0.2285
Al  0.0000  0.5000  0.7715
Al  0.5000  0.0000  0.2285
Al  0.5000  0.0000  0.7715
Al  0.5000  0.5000  0.0000
Ga  0.5000  0.5000  0.3798
Ga  0.5000  0.5000  0.6202

---

# 5
Simulated PXRD pattern
Compound: La2AlGa
Radiation: Cu Kα (λ = 1.5418 Å)
Structure: a cell relaxed with PBE
Peak positions follow from Bragg's law for the DFT cell and can differ from measured ones.

Peak list (10 most intense, 2θ from 10° to 90°, in order of falling intensity)
- 29.52 deg, I 100
- 30.21 deg, I 56
- 25.82 deg, I 40
- 36.91 deg, I 39
- 39.25 deg, I 25
- 52.71 deg, I 23
- 30.81 deg, I 23
- 42.13 deg, I 21
- 37.41 deg, I 19
- 47.58 deg, I 15

Cell and atoms:
Cell: 6.2429 4.2900 9.0032 Å, 90.00 108.54 90.00°
Fractional positions:
La  0.2103  0.2500  0.4269
La  0.2827  0.7500  0.0703
La  0.7173  0.2500  0.9297
La  0.7897  0.7500  0.5731
Al  0.3481  0.7500  0.7187
Al  0.6519  0.2500  0.2813
Ga  0.1516  0.2500  0.7853
Ga  0.8484  0.7500  0.2147

---

# 6
Simulated PXRD pattern
Compound: La2Al5Ga3
Radiation: Cu Kα (λ = 1.5418 Å)
Structure: a cell relaxed with PBE
Peak positions follow from Bragg's law for the DFT cell and can differ from measured ones.

Peak list (10 most intense, 2θ from 10° to 90°, in order of falling intensity)
- 33.36 deg, I 100
- 31.69 deg, I 83
- 41.69 deg, I 51
- 45.71 deg, I 41
- 53.30 deg, I 38
- 29.14 deg, I 35
- 63.57 deg, I 30
- 22.00 deg, I 23
- 70.80 deg, I 22
- 60.43 deg, I 17

Cell and atoms:
Cell: 4.3332 4.3332 11.1642 Å, 90.00 90.00 90.00°
Fractional positions:
La  0.0000  0.5000  0.2476
La  0.5000  0.0000  0.7524
Al  0.0000  0.0000  0.0000
Al  0.0000  0.0000  0.5000
Al  0.0000  0.5000  0.8621
Al  0.5000  0.0000  0.1379
Al  0.5000  0.5000  0.0000
Ga  0.0000  0.5000  0.6350
Ga  0.5000  0.0000  0.3650
Ga  0.5000  0.5000  0.5000

---

# 7
Simulated PXRD pattern
Compound: LaAl3Ga
Radiation: Cu Kα (λ = 1.5418 Å)
Structure: a cell relaxed with PBE
Peak positions follow from Bragg's law for the DFT cell and can differ from measured ones.

Peak list (10 most intense, 2θ from 10° to 90°, in order of falling intensity)
- 33.43 deg, I 100
- 31.67 deg, I 97
- 29.26 deg, I 53
- 41.85 deg, I 51
- 45.60 deg, I 49
- 15.82 deg, I 38
- 53.40 deg, I 33
- 22.07 deg, I 28
- 71.08 deg, I 22
- 63.55 deg, I 18

Cell and atoms:
Cell: 4.3169 4.3169 6.3733 Å, 109.68 109.68 90.02°
Fractional positions:
La  0.0000  0.0000  0.0000
Al  0.2518  0.7518  0.5036
Al  0.6152  0.6152  0.2299
Al  0.7518  0.2518  0.5036
Ga  0.3878  0.3878  0.7762

---

# 8
Simulated PXRD pattern
Compound: La2Al5Ga3
Radiation: Cu Kα (λ = 1.5418 Å)
Structure: a cell relaxed with PBE
Peak positions follow from Bragg's law for the DFT cell and can differ from measured ones.

Peak list (10 most intense, 2θ from 10° to 90°, in order of falling intensity)
- 33.32 deg, I 100
- 31.94 deg, I 76
- 41.38 deg, I 51
- 46.34 deg, I 38
- 28.93 deg, I 35
- 53.20 deg, I 35
- 63.85 deg, I 29
- 70.34 deg, I 22
- 21.92 deg, I 20
- 59.95 deg, I 17

Cell and atoms:
Cell: 8.8137 8.8137 8.8137 Å, 103.08 91.08 139.02°
Fractional positions:
La  0.1261  0.2442  0.3703
La  0.3739  0.7442  0.1182
La  0.6261  0.2558  0.8818
La  0.8739  0.7558  0.6297
Al  0.0118  0.7500  0.2618
Al  0.1290  0.8722  0.0012
Al  0.2500  0.7500  0.5000
Al  0.3710  0.3722  0.7431
Al  0.4882  0.7500  0.7382
Al  0.5118  0.2500  0.2618
Al  0.6290  0.6278  0.2569
Al  0.7500  0.2500  0.5000
Al  0.8710  0.1278  0.9988
Al  0.9882  0.2500  0.7382
Ga  0.1197  0.6409  0.7607
Ga  0.2500  0.2500  0.0000
Ga  0.3803  0.1409  0.5212
Ga  0.6197  0.8591  0.4788
Ga  0.7500  0.7500  0.0000
Ga  0.8803  0.3591  0.2393

---

# 9
Simulated PXRD pattern
Compound: LaAl2Ga4
Radiation: Cu Kα (λ = 1.5418 Å)
Structure: a cell relaxed with PBE
Peak positions follow from Bragg's law for the DFT cell and can differ from measured ones.

Peak list (10 most intense, 2θ from 10° to 90°, in order of falling intensity)
- 31.65 deg, I 100
- 35.32 deg, I 46
- 26.79 deg, I 34
- 11.20 deg, I 30
- 45.44 deg, I 27
- 42.09 deg, I 25
- 42.33 deg, I 25
- 56.09 deg, I 16
- 61.22 deg, I 16
- 37.43 deg, I 16

Cell and atoms:
Cell: 8.4580 8.4580 8.4580 Å, 150.75 150.59 41.96°
Fractional positions:
La  0.0000  0.0000  0.0000
Al  0.1719  0.6719  0.5000
Al  0.8281  0.3281  0.5000
Ga  0.3303  0.8303  0.5000
Ga  0.4216  0.4216  0.0000
Ga  0.5784  0.5784  0.0000
Ga  0.6697  0.1697  0.5000

---

# 10
Simulated PXRD pattern
Compound: La2AlGa4
Radiation: Cu Kα (λ = 1.5418 Å)
Structure: a cell relaxed with PBE
Peak positions follow from Bragg's law for the DFT cell and can differ from measured ones.

Peak list (10 most intense, 2θ from 10° to 90°, in order of falling intensity)
- 35.03 deg, I 100
- 37.34 deg, I 70
- 26.17 deg, I 46
- 28.62 deg, I 46
- 51.83 deg, I 32
- 65.87 deg, I 31
- 34.62 deg, I 26
- 53.84 deg, I 24
- 34.33 deg, I 16
- 25.25 deg, I 16

Cell and atoms:
Cell: 8.4862 8.4862 8.4862 Å, 147.03 147.03 47.32°
Fractional positions:
La  0.1392  0.1392  0.0000
La  0.8608  0.8608  0.0000
Al  0.5000  0.5000  0.0000
Ga  0.0000  0.5000  0.5000
Ga  0.3364  0.3364  0.0000
Ga  0.5000  0.0000  0.5000
Ga  0.6636  0.6636  0.0000

---

# 11
Simulated PXRD pattern
Compound: La2Al3Ga6
Radiation: Cu Kα (λ = 1.5418 Å)
Structure: a cell relaxed with PBE
Peak positions follow from Bragg's law for the DFT cell and can differ from measured ones.

Peak list (10 most intense, 2θ from 10° to 90°, in order of falling intensity)
- 32.46 deg, I 100
- 33.12 deg, I 82
- 28.60 deg, I 79
- 35.57 deg, I 59
- 45.02 deg, I 39
- 58.64 deg, I 38
- 26.81 deg, I 32
- 39.57 deg, I 25
- 52.90 deg, I 24
- 35.47 deg, I 23

Cell and atoms:
Cell: 7.6902 7.6902 4.0269 Å, 90.00 90.00 100.10°
Fractional positions:
La  0.2083  0.7917  0.0000
La  0.7917  0.2083  0.0000
Al  0.2997  0.2997  0.0000
Al  0.5000  0.5000  0.5000
Al  0.7003  0.7003  0.0000
Ga  0.1196  0.1196  0.5000
Ga  0.1448  0.4530  0.5000
Ga  0.4530  0.1448  0.5000
Ga  0.5470  0.8552  0.5000
Ga  0.8552  0.5470  0.5000
Ga  0.8804  0.8804  0.5000

---

# 12
Simulated PXRD pattern
Compound: La3Al8Ga3
Radiation: Cu Kα (λ = 1.5418 Å)
Structure: a cell relaxed with PBE
Peak positions follow from Bragg's law for the DFT cell and can differ from measured ones.

Peak list (10 most intense, 2θ from 10° to 90°, in order of falling intensity)
- 33.73 deg, I 100
- 21.83 deg, I 22
- 40.68 deg, I 22
- 33.34 deg, I 21
- 28.71 deg, I 18
- 41.43 deg, I 17
- 22.17 deg, I 17
- 33.11 deg, I 16
- 62.03 deg, I 16
- 35.05 deg, I 16

Cell and atoms:
Cell: 8.5957 8.5957 8.5957 Å, 150.09 106.87 80.97°
Fractional positions:
La  0.0000  0.0000  0.0000
La  0.3211  0.3211  0.0000
La  0.6789  0.6789  0.0000
Al  0.0359  0.6656  0.3704
Al  0.1295  0.8588  0.2707
Al  0.2952  0.6656  0.6296
Al  0.4118  0.1412  0.2707
Al  0.5882  0.8588  0.7293
Al  0.7048  0.3345  0.3704
Al  0.8705  0.1412  0.7293
Al  0.9641  0.3345  0.6296
Ga  0.2776  0.5000  0.7776
Ga  0.5000  0.0000  0.5000
Ga  0.7224  0.5000  0.2224

---

- Which formula does entry 3 have?
  La12AlGa5